Diffraction record for Er3NiAg. The powder X-ray diffraction pattern is calculated, not measured: it uses a crystal structure in Alexandria, relaxed with PBE and Cu Kα (λ = 1.5418 Å).
Kinematic intensities with the Lorentz-polarization factor, no thermal factor.

Top 10 peaks for 15° ≤ 2θ ≤ 90°, low angle first:
Position (°2θ)	intensity
27.87	43
30.37	48
31.91	100
32.94	96
33.42	67
34.58	27
36.40	67
36.86	66
42.71	27
52.94	35

Structure:
abc: 5.9235 5.9235 8.4739
angles: 112.72 112.72 65.42
Fractional positions:
1 Er 0.0311 0.0311 0.2272
2 Er 0.2903 0.2903 0.6844
3 Er 0.3187 0.3187 0.1272
4 Er 0.6813 0.6813 0.8728
5 Er 0.7097 0.7097 0.3156
6 Er 0.9689 0.9689 0.7728
7 Ni 0.3043 0.6957 0.0000
8 Ni 0.6957 0.3043 0.0000
9 Ag 0.2826 0.7174 0.5000
10 Ag 0.7174 0.2826 0.5000